# 1
Theoretical PXRD pattern of Y2ScS4 for copper Kα, from a structure optimized by DFT (GGA-PBE).
Peak positions follow from Bragg's law for the DFT cell and can differ from measured ones.

Largest 10 diffraction maxima, by angle, 2θ from 10° to 80°:
2θ 16.53, I 37; 2θ 22.33, I 36; 2θ 27.24, I 23; 2θ 32.37, I 100; 2θ 34.91, I 37; 2θ 38.58, I 21; 2θ 42.93, I 19; 2θ 43.59, I 26; 2θ 48.68, I 32; 2θ 49.15, I 23

Atomic structure:
```
data_Y2ScS4
_cell_length_a 6.6460
_cell_length_b 6.9543
_cell_length_c 7.4154
_cell_angle_alpha 74.78
_cell_angle_beta 89.82
_cell_angle_gamma 73.74
_space_group_name_H-M_alt 'P -1'
_space_group_IT_number 2
loop_
_space_group_symop_operation_xyz
'x,y,z'
'-x,-y,-z'
loop_
_atom_site_label
_atom_site_type_symbol
_atom_site_fract_x
_atom_site_fract_y
_atom_site_fract_z
Y1 Y 0.1833 0.2122 0.4467
Y2 Y 0.1862 0.2029 0.9478
Sc1 Sc 0.3486 0.6860 0.8144
S1 S 0.0120 0.9892 0.7519
S2 S 0.2154 0.5024 0.6256
S3 S 0.2450 0.5055 0.1206
S4 S 0.4963 0.0033 0.2517
```


# 2
Theoretical PXRD pattern of GeS2F12 for copper Kα, from a structure optimized by DFT (GGA-PBE).
Peak positions follow from Bragg's law for the DFT cell and can differ from measured ones.

Largest 10 diffraction maxima, by angle, 2θ from 10° to 80°:
2θ 14.76, I 88; 2θ 17.33, I 72; 2θ 20.79, I 12; 2θ 22.91, I 40; 2θ 26.48, I 100; 2θ 28.87, I 19; 2θ 33.02, I 21; 2θ 47.69, I 12; 2θ 48.76, I 12; 2θ 54.56, I 13

Atomic structure:
```
data_GeS2F12
_cell_length_a 7.7621
_cell_length_b 9.4641
_cell_length_c 6.0827
_cell_angle_alpha 90.00
_cell_angle_beta 90.00
_cell_angle_gamma 90.00
_space_group_name_H-M_alt 'P n n m'
_space_group_IT_number 58
loop_
_space_group_symop_operation_xyz
'x,y,z'
'-x,-y,-z'
'-x,-y,z'
'x,y,-z'
'x+1/2,-y+1/2,-z+1/2'
'-x+1/2,y+1/2,z+1/2'
'-x+1/2,y+1/2,-z+1/2'
'x+1/2,-y+1/2,z+1/2'
loop_
_atom_site_label
_atom_site_type_symbol
_atom_site_fract_x
_atom_site_fract_y
_atom_site_fract_z
Ge1 Ge 0.0000 0.0000 0.0000
S1 S 0.0862 0.2452 0.5000
F1 F 0.0532 0.3535 0.3095
F2 F 0.1016 0.8155 0.5000
F3 F 0.1359 0.8410 0.0000
F4 F 0.1367 0.0804 0.2128
```


# 3
Theoretical PXRD pattern of CuBi3Rh for copper Kα, from a structure optimized by DFT (GGA-PBE).
Peak positions follow from Bragg's law for the DFT cell and can differ from measured ones.

Largest 10 diffraction maxima, by angle, 2θ from 10° to 80°:
2θ 12.40, I 49; 2θ 25.60, I 44; 2θ 31.75, I 92; 2θ 31.98, I 68; 2θ 32.19, I 61; 2θ 33.69, I 100; 2θ 33.87, I 72; 2θ 34.26, I 74; 2θ 39.50, I 41; 2θ 45.49, I 92

Atomic structure:
```
data_CuBi3Rh
_cell_length_a 7.9690
_cell_length_b 3.9902
_cell_length_c 8.7640
_cell_angle_alpha 90.00
_cell_angle_beta 116.39
_cell_angle_gamma 90.00
_space_group_name_H-M_alt 'P 1 21/m 1'
_space_group_IT_number 11
loop_
_space_group_symop_operation_xyz
'x,y,z'
'-x,-y,-z'
'-x,y+1/2,-z'
'x,-y+1/2,z'
loop_
_atom_site_label
_atom_site_type_symbol
_atom_site_fract_x
_atom_site_fract_y
_atom_site_fract_z
Cu1 Cu 0.0263 0.2500 0.2836
Bi1 Bi 0.1984 0.2500 0.6385
Bi2 Bi 0.3196 0.7500 0.3730
Bi3 Bi 0.3243 0.7500 0.9967
Rh1 Rh 0.4796 0.7500 0.7455
```


# 4
Theoretical PXRD pattern of Th3BBr3 for copper Kα, from a structure optimized by DFT (GGA-PBE).
Peak positions follow from Bragg's law for the DFT cell and can differ from measured ones.

Largest 10 diffraction maxima, by angle, 2θ from 10° to 80°:
2θ 27.82, I 33; 2θ 29.38, I 21; 2θ 29.79, I 25; 2θ 30.54, I 100; 2θ 31.16, I 60; 2θ 33.26, I 28; 2θ 34.37, I 28; 2θ 43.59, I 38; 2θ 44.78, I 28; 2θ 57.48, I 24

Atomic structure:
```
data_Th3BBr3
_cell_length_a 8.9716
_cell_length_b 3.8662
_cell_length_c 11.4912
_cell_angle_alpha 90.00
_cell_angle_beta 92.23
_cell_angle_gamma 90.00
_space_group_name_H-M_alt 'P 1 21/m 1'
_space_group_IT_number 11
loop_
_space_group_symop_operation_xyz
'x,y,z'
'-x,-y,-z'
'-x,y+1/2,-z'
'x,-y+1/2,z'
loop_
_atom_site_label
_atom_site_type_symbol
_atom_site_fract_x
_atom_site_fract_y
_atom_site_fract_z
Th1 Th 0.0925 0.2500 0.1363
Th2 Th 0.0988 0.2500 0.6096
Th3 Th 0.2986 0.7500 0.3677
B1 B 0.1057 0.2500 0.3737
Br1 Br 0.1749 0.2500 0.8729
Br2 Br 0.3560 0.7500 0.1149
Br3 Br 0.3970 0.7500 0.6290
```